# LaTb4Pr10
Simulated PXRD pattern, Cu Ka. Input: a crystal structure in Alexandria, relaxed with GGA-PBE.
Peak positions follow from Bragg's law for the DFT cell and can differ from measured ones.

Main lines, in order of rising 2θ (2θ = 10–90°):
| Position (°2θ) | d/Å | I/Imax |
| --- | --- | --- |
| 14.42 | 6.141 | 30 |
| 27.34 | 3.261 | 64 |
| 28.06 | 3.180 | 40 |
| 29.43 | 3.035 | 28 |
| 31.06 | 2.879 | 100 |
| 31.37 | 2.851 | 26 |
| 33.81 | 2.651 | 95 |
| 35.55 | 2.525 | 38 |
| 40.60 | 2.222 | 26 |
| 44.26 | 2.047 | 39 |
| 44.50 | 2.036 | 25 |
| 62.16 | 1.493 | 27 |

```
data_LaTb4Pr10
_cell_length_a 12.877
_cell_length_b 12.877
_cell_length_c 6.987
_cell_angle_alpha 90.00
_cell_angle_beta 90.00
_cell_angle_gamma 90.00
_symmetry_space_group_name_H-M 'I 4/m'
_symmetry_Int_Tables_number 87
_symmetry_space_group_name_Hall '-I 4'
loop_
_atom_site_label
_atom_site_fract_x
_atom_site_fract_y
_atom_site_fract_z
La1 0.000 0.000 0.000
Tb1 0.067 0.177 0.500
Pr1 0.000 0.500 0.250
Pr2 0.128 0.711 0.245
```

***

# La3Tb4Pr4
Simulated PXRD pattern, Cu Ka. Input: a crystal structure in Alexandria, relaxed with GGA-PBE.
Peak positions follow from Bragg's law for the DFT cell and can differ from measured ones.

Main lines, in order of rising 2θ (2θ = 10–90°):
| Position (°2θ) | d/Å | I/Imax |
| --- | --- | --- |
| 29.69 | 3.009 | 30 |
| 30.33 | 2.947 | 15 |
| 30.61 | 2.921 | 38 |
| 31.31 | 2.857 | 100 |
| 32.58 | 2.748 | 16 |
| 43.63 | 2.075 | 11 |
| 44.42 | 2.040 | 7 |
| 45.31 | 2.001 | 13 |
| 51.16 | 1.785 | 10 |
| 54.86 | 1.673 | 29 |
| 60.81 | 1.523 | 25 |
| 77.94 | 1.226 | 6 |

```
data_La3Tb4Pr4
_cell_length_a 10.993
_cell_length_b 5.841
_cell_length_c 12.237
_cell_angle_alpha 90.00
_cell_angle_beta 90.00
_cell_angle_gamma 90.00
_symmetry_space_group_name_H-M 'A m m 2'
_symmetry_Int_Tables_number 38
loop_
_symmetry_equiv_pos_as_xyz
'x,y,z'
'-x,-y,z'
'-x,y,z'
'x,-y,z'
'x,y+1/2,z+1/2'
'-x,-y+1/2,z+1/2'
'-x,y+1/2,z+1/2'
'x,-y+1/2,z+1/2'
loop_
_atom_site_label
_atom_site_fract_x
_atom_site_fract_y
_atom_site_fract_z
La1 0.000 0.000 0.000
La2 0.288 0.000 0.161
Tb1 0.000 0.000 0.305
Tb2 0.307 0.000 0.856
Tb3 0.500 0.000 0.358
Pr1 0.000 0.000 0.705
Pr2 0.215 0.000 0.496
Pr3 0.500 0.000 0.631
```

***

# La3TbPr8
Simulated PXRD pattern, Cu Ka. Input: a crystal structure in Alexandria, relaxed with GGA-PBE.
Peak positions follow from Bragg's law for the DFT cell and can differ from measured ones.

Main lines, in order of rising 2θ (2θ = 10–90°):
| Position (°2θ) | d/Å | I/Imax |
| --- | --- | --- |
| 24.34 | 3.656 | 24 |
| 29.28 | 3.050 | 43 |
| 29.75 | 3.003 | 100 |
| 30.03 | 2.976 | 37 |
| 33.31 | 2.690 | 13 |
| 34.53 | 2.597 | 24 |
| 35.61 | 2.521 | 26 |
| 40.96 | 2.203 | 19 |
| 43.93 | 2.061 | 13 |
| 52.03 | 1.758 | 12 |
| 57.34 | 1.607 | 18 |
| 57.95 | 1.591 | 13 |

```
data_La3TbPr8
_cell_length_a 6.633
_cell_length_b 9.195
_cell_length_c 14.490
_cell_angle_alpha 90.00
_cell_angle_beta 90.00
_cell_angle_gamma 90.00
_symmetry_space_group_name_H-M 'I 2 2 2'
_symmetry_Int_Tables_number 23
loop_
_symmetry_equiv_pos_as_xyz
'x,y,z'
'-x,-y,z'
'x,-y,-z'
'-x,y,-z'
'x+1/2,y+1/2,z+1/2'
'-x+1/2,-y+1/2,z+1/2'
'x+1/2,-y+1/2,-z+1/2'
'-x+1/2,y+1/2,-z+1/2'
loop_
_atom_site_label
_atom_site_fract_x
_atom_site_fract_y
_atom_site_fract_z
La1 0.000 0.000 0.000
La2 0.000 0.500 0.382
Tb1 0.000 0.000 0.500
Pr1 0.136 0.331 0.906
Pr2 0.156 0.149 0.711
```